Starting from a DFT-relaxed cell (GGA-PBE, Alexandria), the X-ray powder pattern of Ce3Ga3Os2 was calculated for Cu Kα (λ = 1.5418 Å).
Neutral-atom scattering factors, no anomalous dispersion.

Most intense lines, 10° ≤ 2θ ≤ 90°, most intense first:
| Position (°2θ) | d [Å] | I/Imax | (hkl) |
| --- | --- | --- | --- |
| 31.56 | 2.835 | 100 | 2 4 0 |
| 35.99 | 2.495 | 98 | 0 6 0 |
| 40.27 | 2.240 | 76 | 1 3 2 |
| 36.35 | 2.471 | 52 | 1 1 2 |
| 39.94 | 2.257 | 34 | 3 3 1 |
| 56.53 | 1.628 | 33 | 1 7 2 |
| 20.48 | 4.336 | 28 | 2 0 0 |
| 45.28 | 2.003 | 27 | 4 0 1 |

Structure:
```
data_Ce3Ga3Os2
_symmetry_space_group_name_H-M 'P n m a'
_symmetry_Int_Tables_number 62
_cell_length_a 8.672
_cell_length_b 14.987
_cell_length_c 5.234
_cell_angle_alpha 90.00
_cell_angle_beta 90.00
_cell_angle_gamma 90.00
loop_
_symmetry_equiv_pos_as_xyz
'x,y,z'
'-x,-y,-z'
'-x+1/2,-y,z+1/2'
'x+1/2,y,-z+1/2'
'x+1/2,-y+1/2,-z+1/2'
'-x+1/2,y+1/2,z+1/2'
'-x,y+1/2,-z'
'x,-y+1/2,z'
loop_
_atom_site_label
_atom_site_type_symbol
_atom_site_fract_x
_atom_site_fract_y
_atom_site_fract_z
_atom_site_occupancy
Ce1 Ce 0.030 0.112 0.101 1
Ce2 Ce 0.177 0.250 0.595 1
Ga1 Ga 0.159 0.750 0.578 1
Ga2 Ga 0.211 0.035 0.614 1
Os1 Os 0.061 0.597 0.387 1
```



Starting from a DFT-relaxed cell (GGA-PBE, Alexandria), the X-ray powder pattern of Ce4Ga3Os was calculated for Cu Kα (λ = 1.5418 Å).
Neutral-atom scattering factors, no anomalous dispersion.

Most intense lines, 10° ≤ 2θ ≤ 90°, most intense first:
| Position (°2θ) | d [Å] | I/Imax | (hkl) |
| --- | --- | --- | --- |
| 30.87 | 2.897 | 100 | 1 1 1 |
| 39.26 | 2.295 | 53 | 1 1 3 |
| 32.79 | 2.731 | 30 | 0 1 3 |
| 42.22 | 2.141 | 25 | 0 2 0 |
| 42.71 | 2.117 | 24 | 2 0 0 |
| 40.04 | 2.252 | 22 | 1 0 4 |
| 33.70 | 2.660 | 20 | 0 0 4 |
| 61.62 | 1.505 | 16 | 2 2 0 |

Structure:
```
data_Ce4Ga3Os
_symmetry_space_group_name_H-M 'P m m 2'
_symmetry_Int_Tables_number 25
_cell_length_a 4.234
_cell_length_b 4.281
_cell_length_c 10.638
_cell_angle_alpha 90.00
_cell_angle_beta 90.00
_cell_angle_gamma 90.00
loop_
_symmetry_equiv_pos_as_xyz
'x,y,z'
'-x,-y,z'
'-x,y,z'
'x,-y,z'
loop_
_atom_site_label
_atom_site_type_symbol
_atom_site_fract_x
_atom_site_fract_y
_atom_site_fract_z
_atom_site_occupancy
Ce1 Ce 0.000 0.000 0.000 1
Ce2 Ce 0.000 0.500 0.466 1
Ce3 Ce 0.500 0.000 0.694 1
Ce4 Ce 0.500 0.500 0.200 1
Ga1 Ga 0.000 0.500 0.767 1
Ga2 Ga 0.500 0.000 0.405 1
Ga3 Ga 0.500 0.500 0.914 1
Os1 Os 0.000 0.000 0.252 1
```



Starting from a DFT-relaxed cell (GGA-PBE, Alexandria), the X-ray powder pattern of Ce4Ga12Os was calculated for Cu Kα (λ = 1.5418 Å).
Neutral-atom scattering factors, no anomalous dispersion.

Most intense lines, 10° ≤ 2θ ≤ 90°, most intense first:
| Position (°2θ) | d [Å] | I/Imax | (hkl) |
| --- | --- | --- | --- |
| 35.71 | 2.515 | 100 | 2 2 2 |
| 41.47 | 2.178 | 83 | 4 0 0 |
| 60.09 | 1.540 | 50 | 4 4 0 |
| 28.99 | 3.080 | 43 | 2 2 0 |
| 71.90 | 1.313 | 29 | 6 2 2 |
| 38.68 | 2.328 | 25 | 3 2 1 |
| 32.51 | 2.755 | 17 | 3 1 0 |
| 75.64 | 1.257 | 15 | 4 4 4 |

Structure:
```
data_Ce4Ga12Os
_symmetry_space_group_name_H-M 'I m -3 m'
_symmetry_Int_Tables_number 229
_symmetry_space_group_name_Hall '-I 4 2 3'
_cell_length_a 8.711
_cell_length_b 8.711
_cell_length_c 8.711
_cell_angle_alpha 90.00
_cell_angle_beta 90.00
_cell_angle_gamma 90.00
loop_
_atom_site_label
_atom_site_type_symbol
_atom_site_fract_x
_atom_site_fract_y
_atom_site_fract_z
_atom_site_occupancy
Ce1 Ce 0.250 0.250 0.250 1
Ga1 Ga 0.000 0.000 0.292 1
Ga2 Ga 0.000 0.250 0.500 1
Os1 Os 0.000 0.000 0.000 1
```



Starting from a DFT-relaxed cell (GGA-PBE, Alexandria), the X-ray powder pattern of Ce3Ga8Os3 was calculated for Cu Kα (λ = 1.5418 Å).
Neutral-atom scattering factors, no anomalous dispersion.

Most intense lines, 10° ≤ 2θ ≤ 90°, most intense first:
| Position (°2θ) | d [Å] | I/Imax | (hkl) |
| --- | --- | --- | --- |
| 35.24 | 2.547 | 100 | 1 2 3 |
| 14.27 | 6.208 | 30 | 0 0 2 |
| 42.31 | 2.136 | 30 | 2 0 0 |
| 11.45 | 7.731 | 25 | 0 1 1 |
| 46.10 | 1.969 | 22 | 1 2 5 |
| 64.71 | 1.441 | 19 | 1 6 3 |
| 37.40 | 2.405 | 19 | 1 3 2 |
| 45.42 | 1.997 | 18 | 1 3 4 |

Structure:
```
data_Ce3Ga8Os3
_symmetry_space_group_name_H-M 'I m m m'
_symmetry_Int_Tables_number 71
_symmetry_space_group_name_Hall '-I 2 2'
_cell_length_a 4.272
_cell_length_b 9.880
_cell_length_c 12.416
_cell_angle_alpha 90.00
_cell_angle_beta 90.00
_cell_angle_gamma 90.00
loop_
_atom_site_label
_atom_site_type_symbol
_atom_site_fract_x
_atom_site_fract_y
_atom_site_fract_z
_atom_site_occupancy
Ce1 Ce 0.000 0.000 0.000 1
Ce2 Ce 0.000 0.000 0.334 1
Ga1 Ga 0.000 0.281 0.122 1
Ga2 Ga 0.000 0.368 0.330 1
Os1 Os 0.000 0.218 0.500 1
Os2 Os 0.000 0.500 0.000 1
```



Starting from a DFT-relaxed cell (GGA-PBE, Alexandria), the X-ray powder pattern of CeGa2SiOs2 was calculated for Cu Kα (λ = 1.5418 Å).
Neutral-atom scattering factors, no anomalous dispersion.

Most intense lines, 10° ≤ 2θ ≤ 90°, most intense first:
| Position (°2θ) | d [Å] | I/Imax | (hkl) |
| --- | --- | --- | --- |
| 32.42 | 2.762 | 100 | 1 1 1 |
| 40.33 | 2.236 | 52 | 2 0 0 |
| 15.63 | 5.669 | 34 | 0 0 1 |
| 68.35 | 1.372 | 26 | 3 1 1 |
| 37.57 | 2.394 | 26 | 1 0 2 |
| 42.84 | 2.111 | 22 | 1 1 2 |
| 58.36 | 1.581 | 18 | 2 2 0 |
| 52.09 | 1.756 | 17 | 2 0 2 |

Structure:
```
data_CeGa2SiOs2
_symmetry_space_group_name_H-M 'P 4/m m m'
_symmetry_Int_Tables_number 123
_symmetry_space_group_name_Hall '-P 4 2'
_cell_length_a 4.473
_cell_length_b 4.473
_cell_length_c 5.669
_cell_angle_alpha 90.00
_cell_angle_beta 90.00
_cell_angle_gamma 90.00
loop_
_atom_site_label
_atom_site_type_symbol
_atom_site_fract_x
_atom_site_fract_y
_atom_site_fract_z
_atom_site_occupancy
Ce1 Ce 0.000 0.000 0.000 1
Ga1 Ga 0.500 0.500 0.229 1
Si1 Si 0.000 0.000 0.500 1
Os1 Os 0.000 0.500 0.500 1
```



Starting from a DFT-relaxed cell (GGA-PBE, Alexandria), the X-ray powder pattern of CeThGaOs was calculated for Cu Kα (λ = 1.5418 Å).
Neutral-atom scattering factors, no anomalous dispersion.

Most intense lines, 10° ≤ 2θ ≤ 90°, most intense first:
| Position (°2θ) | d [Å] | I/Imax | (hkl) |
| --- | --- | --- | --- |
| 31.54 | 2.837 | 100 | 1 1 1 |
| 39.19 | 2.299 | 78 | 1 1 3 |
| 32.36 | 2.766 | 53 | 0 0 4 |
| 16.00 | 5.540 | 28 | 0 0 2 |
| 55.46 | 1.657 | 23 | 2 0 4 |
| 43.48 | 2.081 | 22 | 0 2 0 |
| 43.76 | 2.069 | 21 | 2 0 0 |
| 63.39 | 1.467 | 14 | 2 2 0 |

Structure:
```
data_CeThGaOs
_symmetry_space_group_name_H-M 'A m m 2'
_symmetry_Int_Tables_number 38
_cell_length_a 4.138
_cell_length_b 4.163
_cell_length_c 11.079
_cell_angle_alpha 90.00
_cell_angle_beta 90.00
_cell_angle_gamma 90.00
loop_
_symmetry_equiv_pos_as_xyz
'x,y,z'
'-x,-y,z'
'-x,y,z'
'x,-y,z'
'x,y+1/2,z+1/2'
'-x,-y+1/2,z+1/2'
'-x,y+1/2,z+1/2'
'x,-y+1/2,z+1/2'
loop_
_atom_site_label
_atom_site_type_symbol
_atom_site_fract_x
_atom_site_fract_y
_atom_site_fract_z
_atom_site_occupancy
Ce1 Ce 0.000 0.000 0.000 1
Th1 Th 0.500 0.000 0.279 1
Ga1 Ga 0.500 0.000 0.573 1
Os1 Os 0.000 0.000 0.731 1
```



Starting from a DFT-relaxed cell (GGA-PBE, Alexandria), the X-ray powder pattern of CeGa2P2Pt7 was calculated for Cu Kα (λ = 1.5418 Å).
Neutral-atom scattering factors, no anomalous dispersion.

Most intense lines, 10° ≤ 2θ ≤ 90°, most intense first:
| Position (°2θ) | d [Å] | I/Imax | (hkl) |
| --- | --- | --- | --- |
| 46.12 | 1.968 | 100 | 2 2 -1 |
| 37.28 | 2.412 | 87 | 0 2 3 |
| 35.91 | 2.501 | 75 | 2 0 2 |
| 35.64 | 2.519 | 70 | 2 0 -3 |
| 34.47 | 2.602 | 58 | 0 2 2 |
| 31.09 | 2.877 | 56 | 0 0 5 |
| 44.07 | 2.055 | 35 | 0 0 7 |
| 67.09 | 1.395 | 32 | 0 4 0 |

Structure:
```
data_CeGa2P2Pt7
_symmetry_space_group_name_H-M 'C 1 2/m 1'
_symmetry_Int_Tables_number 12
_cell_length_a 5.579
_cell_length_b 5.582
_cell_length_c 14.464
_cell_angle_alpha 90.00
_cell_angle_beta 96.06
_cell_angle_gamma 90.00
loop_
_symmetry_equiv_pos_as_xyz
'x,y,z'
'-x,-y,-z'
'-x,y,-z'
'x,-y,z'
'x+1/2,y+1/2,z'
'-x+1/2,-y+1/2,-z'
'-x+1/2,y+1/2,-z'
'x+1/2,-y+1/2,z'
loop_
_atom_site_label
_atom_site_type_symbol
_atom_site_fract_x
_atom_site_fract_y
_atom_site_fract_z
_atom_site_occupancy
Ce1 Ce 0.000 0.000 0.000 1
Ga1 Ga 0.133 0.000 0.425 1
P1 P 0.072 0.500 0.253 1
Pt1 Pt 0.000 0.500 0.000 1
Pt2 Pt 0.090 0.500 0.410 1
Pt3 Pt 0.204 0.250 0.840 1
```



Starting from a DFT-relaxed cell (GGA-PBE, Alexandria), the X-ray powder pattern of Ce3GaP2Rh8 was calculated for Cu Kα (λ = 1.5418 Å).
Neutral-atom scattering factors, no anomalous dispersion.

Most intense lines, 10° ≤ 2θ ≤ 90°, most intense first:
| Position (°2θ) | d [Å] | I/Imax | (hkl) |
| --- | --- | --- | --- |
| 39.36 | 2.289 | 100 | 0 2 1 |
| 38.27 | 2.352 | 57 | 1 1 2 |
| 34.62 | 2.591 | 53 | 1 0 3 |
| 43.40 | 2.085 | 53 | 0 1 4 |
| 32.84 | 2.727 | 42 | 1 1 0 |
| 42.96 | 2.105 | 31 | 2 0 2 |
| 68.86 | 1.363 | 30 | 2 2 0 |
| 65.99 | 1.416 | 29 | 1 2 4 |

Structure:
```
data_Ce3GaP2Rh8
_symmetry_space_group_name_H-M 'P -3 m 1'
_symmetry_Int_Tables_number 164
_symmetry_space_group_name_Hall '-P 3 2"'
_cell_length_a 5.4539
_cell_length_b 5.4539
_cell_length_c 9.2957
_cell_angle_alpha 90.00
_cell_angle_beta 90.00
_cell_angle_gamma 120.00
loop_
_atom_site_label
_atom_site_type_symbol
_atom_site_fract_x
_atom_site_fract_y
_atom_site_fract_z
_atom_site_occupancy
Ce1 Ce 0.0000 0.0000 0.0000 1
Ce2 Ce 0.3333 0.6667 0.5649 1
Ga1 Ga 0.0000 0.0000 0.5000 1
P1 P 0.3333 0.6667 0.0936 1
Rh1 Rh 0.1656 0.3311 0.2743 1
Rh2 Rh 0.3333 0.6667 0.8486 1
```



Starting from a DFT-relaxed cell (GGA-PBE, Alexandria), the X-ray powder pattern of CePaGa4 was calculated for Cu Kα (λ = 1.5418 Å).
Neutral-atom scattering factors, no anomalous dispersion.

Most intense lines, 10° ≤ 2θ ≤ 90°, most intense first:
| Position (°2θ) | d [Å] | I/Imax | (hkl) |
| --- | --- | --- | --- |
| 32.63 | 2.745 | 100 | 1 1 2 |
| 37.38 | 2.406 | 51 | 1 0 5 |
| 28.04 | 3.182 | 39 | 1 0 3 |
| 43.25 | 2.092 | 38 | 2 0 0 |
| 58.47 | 1.579 | 28 | 2 1 5 |
| 48.50 | 1.877 | 25 | 1 0 7 |
| 72.60 | 1.302 | 20 | 3 1 2 |
| 66.98 | 1.397 | 19 | 2 1 7 |

Structure:
```
data_CePaGa4
_symmetry_space_group_name_H-M 'I -4 m 2'
_symmetry_Int_Tables_number 119
_symmetry_space_group_name_Hall 'I -4 -2'
_cell_length_a 4.184
_cell_length_b 4.184
_cell_length_c 14.701
_cell_angle_alpha 90.00
_cell_angle_beta 90.00
_cell_angle_gamma 90.00
loop_
_atom_site_label
_atom_site_type_symbol
_atom_site_fract_x
_atom_site_fract_y
_atom_site_fract_z
_atom_site_occupancy
Ce1 Ce 0.000 0.000 0.000 1
Pa1 Pa 0.000 0.500 0.750 1
Ga1 Ga 0.000 0.000 0.416 1
Ga2 Ga 0.000 0.500 0.168 1
```



Starting from a DFT-relaxed cell (GGA-PBE, Alexandria), the X-ray powder pattern of CeGaSnPb was calculated for Cu Kα (λ = 1.5418 Å).
Neutral-atom scattering factors, no anomalous dispersion.

Most intense lines, 10° ≤ 2θ ≤ 90°, most intense first:
| Position (°2θ) | d [Å] | I/Imax | (hkl) |
| --- | --- | --- | --- |
| 33.23 | 2.696 | 100 | 1 1 1 |
| 37.94 | 2.371 | 18 | 0 0 2 |
| 38.72 | 2.325 | 17 | 0 2 0 |
| 39.01 | 2.309 | 16 | 2 0 0 |
| 65.56 | 1.424 | 14 | 1 1 3 |
| 66.62 | 1.404 | 14 | 1 3 1 |
| 67.01 | 1.397 | 13 | 3 1 1 |
| 69.76 | 1.348 | 12 | 2 2 2 |

Structure:
```
data_CeGaSnPb
_symmetry_space_group_name_H-M 'P m m m'
_symmetry_Int_Tables_number 47
_cell_length_a 4.618
_cell_length_b 4.651
_cell_length_c 4.743
_cell_angle_alpha 90.00
_cell_angle_beta 90.00
_cell_angle_gamma 90.00
loop_
_symmetry_equiv_pos_as_xyz
'x,y,z'
'-x,-y,-z'
'-x,-y,z'
'x,y,-z'
'x,-y,-z'
'-x,y,z'
'-x,y,-z'
'x,-y,z'
loop_
_atom_site_label
_atom_site_type_symbol
_atom_site_fract_x
_atom_site_fract_y
_atom_site_fract_z
_atom_site_occupancy
Ce1 Ce 0.000 0.000 0.000 1
Ga1 Ga 0.500 0.500 0.000 1
Sn1 Sn 0.500 0.000 0.500 1
Pb1 Pb 0.000 0.500 0.500 1
```



Starting from a DFT-relaxed cell (GGA-PBE, Alexandria), the X-ray powder pattern of Ce2Ga2Pd3 was calculated for Cu Kα (λ = 1.5418 Å).
Neutral-atom scattering factors, no anomalous dispersion.

Most intense lines, 10° ≤ 2θ ≤ 90°, most intense first:
| Position (°2θ) | d [Å] | I/Imax | (hkl) |
| --- | --- | --- | --- |
| 33.38 | 2.685 | 100 | 1 1 2 |
| 34.18 | 2.623 | 93 | 1 5 1 |
| 44.13 | 2.052 | 36 | 2 0 0 |
| 41.93 | 2.155 | 33 | 0 4 3 |
| 46.95 | 1.935 | 25 | 1 7 2 |
| 30.36 | 2.944 | 24 | 0 6 1 |
| 62.50 | 1.486 | 20 | 2 4 3 |
| 54.49 | 1.684 | 19 | 1 9 2 |

Structure:
```
data_Ce2Ga2Pd3
_symmetry_space_group_name_H-M 'C m c m'
_symmetry_Int_Tables_number 63
_symmetry_space_group_name_Hall '-C 2c 2'
_cell_length_a 4.105
_cell_length_b 19.347
_cell_length_c 7.220
_cell_angle_alpha 90.00
_cell_angle_beta 90.00
_cell_angle_gamma 90.00
loop_
_atom_site_label
_atom_site_type_symbol
_atom_site_fract_x
_atom_site_fract_y
_atom_site_fract_z
_atom_site_occupancy
Ce1 Ce 0.000 0.062 0.250 1
Ce2 Ce 0.000 0.151 0.750 1
Ga1 Ga 0.000 0.307 0.556 1
Pd1 Pd 0.000 0.228 0.250 1
Pd2 Pd 0.000 0.434 0.051 1
```



Starting from a DFT-relaxed cell (GGA-PBE, Alexandria), the X-ray powder pattern of Ce2Ga7Pd was calculated for Cu Kα (λ = 1.5418 Å).
Neutral-atom scattering factors, no anomalous dispersion.

Most intense lines, 10° ≤ 2θ ≤ 90°, most intense first:
| Position (°2θ) | d [Å] | I/Imax | (hkl) |
| --- | --- | --- | --- |
| 33.74 | 2.657 | 100 | 1 1 2 |
| 32.89 | 2.723 | 66 | 1 0 3 |
| 41.40 | 2.181 | 64 | 2 0 0 |
| 53.86 | 1.702 | 32 | 2 1 3 |
| 48.26 | 1.886 | 28 | 1 0 5 |
| 70.63 | 1.334 | 23 | 3 1 2 |
| 65.42 | 1.427 | 22 | 2 1 5 |
| 59.99 | 1.542 | 21 | 2 2 0 |

Structure:
```
data_Ce2Ga7Pd
_symmetry_space_group_name_H-M 'P 4 m m'
_symmetry_Int_Tables_number 99
_cell_length_a 4.362
_cell_length_b 4.362
_cell_length_c 10.458
_cell_angle_alpha 90.00
_cell_angle_beta 90.00
_cell_angle_gamma 90.00
loop_
_symmetry_equiv_pos_as_xyz
'x,y,z'
'-y,x,z'
'-x,-y,z'
'y,-x,z'
'-x,y,z'
'y,x,z'
'x,-y,z'
'-y,-x,z'
loop_
_atom_site_label
_atom_site_type_symbol
_atom_site_fract_x
_atom_site_fract_y
_atom_site_fract_z
_atom_site_occupancy
Ce1 Ce 0.000 0.000 0.000 1
Ce2 Ce 0.500 0.500 0.492 1
Ga1 Ga 0.000 0.000 0.391 1
Ga2 Ga 0.000 0.000 0.624 1
Ga3 Ga 0.000 0.500 0.252 1
Ga4 Ga 0.000 0.500 0.756 1
Ga5 Ga 0.500 0.500 0.901 1
Pd1 Pd 0.500 0.500 0.135 1
```



Starting from a DFT-relaxed cell (GGA-PBE, Alexandria), the X-ray powder pattern of Ce3Ga4Pd4 was calculated for Cu Kα (λ = 1.5418 Å).
Neutral-atom scattering factors, no anomalous dispersion.

Most intense lines, 10° ≤ 2θ ≤ 90°, most intense first:
| Position (°2θ) | d [Å] | I/Imax | (hkl) |
| --- | --- | --- | --- |
| 33.31 | 2.689 | 100 | 1 2 1 |
| 35.09 | 2.557 | 81 | 1 1 4 |
| 42.70 | 2.117 | 42 | 2 0 0 |
| 37.87 | 2.376 | 42 | 1 2 3 |
| 42.24 | 2.140 | 35 | 0 3 3 |
| 33.64 | 2.664 | 28 | 0 1 5 |
| 61.62 | 1.505 | 23 | 2 3 3 |
| 37.62 | 2.391 | 23 | 0 0 6 |

Structure:
```
data_Ce3Ga4Pd4
_symmetry_space_group_name_H-M 'I m m m'
_symmetry_Int_Tables_number 71
_symmetry_space_group_name_Hall '-I 2 2'
_cell_length_a 4.235
_cell_length_b 7.178
_cell_length_c 14.344
_cell_angle_alpha 90.00
_cell_angle_beta 90.00
_cell_angle_gamma 90.00
loop_
_atom_site_label
_atom_site_type_symbol
_atom_site_fract_x
_atom_site_fract_y
_atom_site_fract_z
_atom_site_occupancy
Ce1 Ce 0.000 0.000 0.000 1
Ce2 Ce 0.000 0.500 0.129 1
Ga1 Ga 0.000 0.000 0.215 1
Ga2 Ga 0.000 0.186 0.500 1
Pd1 Pd 0.000 0.298 0.325 1
```